# Al4CrGa
Calculated X-ray diffraction stick pattern, Cu Kα (λ = 1.5418 Å). Input: a structure optimized by DFT (PBE).

```
Al4CrGa
1.0
5.188 0.000 0.000
0.000 4.961 0.000
0.000 0.000 7.344
Al Cr Ga
8 2 2
Direct
0.000 0.235 0.123 Al
0.000 0.765 0.877 Al
0.250 0.221 0.750 Al
0.250 0.779 0.250 Al
0.500 0.235 0.377 Al
0.500 0.765 0.623 Al
0.750 0.221 0.750 Al
0.750 0.779 0.250 Al
0.000 0.000 0.500 Cr
0.500 0.000 0.000 Cr
0.000 0.500 0.500 Ga
0.500 0.500 0.000 Ga
```

Largest 12 diffraction maxima, sorted by position, 10 to 90 degrees two-theta:
d 4.237, 21.0°, rel. 91; d 3.672, 24.2°, rel. 23; d 2.594, 34.6°, rel. 26; d 2.565, 35.0°, rel. 18; d 2.214, 40.8°, rel. 55; d 2.194, 41.1°, rel. 49; d 2.141, 42.2°, rel. 100; d 2.119, 42.7°, rel. 59; d 2.056, 44.1°, rel. 50; d 1.413, 66.1°, rel. 25; d 1.393, 67.2°, rel. 23; d 1.283, 73.9°, rel. 35


# Al4CrGa
Calculated X-ray diffraction stick pattern, Cu Kα (λ = 1.5418 Å). Input: a structure optimized by DFT (PBE).

```
Al4CrGa
1.0
6.529 -3.250 0.000
6.529 3.250 0.000
-1.993 0.000 4.736
Al Cr Ga
8 2 2
Direct
0.108 0.640 0.375 Al
0.195 0.805 0.000 Al
0.324 0.324 0.826 Al
0.360 0.892 0.625 Al
0.640 0.108 0.375 Al
0.676 0.676 0.174 Al
0.805 0.195 0.000 Al
0.892 0.360 0.625 Al
0.500 0.500 0.282 Cr
0.500 0.500 0.718 Cr
0.203 0.203 0.209 Ga
0.797 0.797 0.791 Ga
```

Largest 12 diffraction maxima, sorted by position, 10 to 90 degrees two-theta:
d 5.720, 15.5°, rel. 51; d 4.031, 22.1°, rel. 72; d 3.414, 26.1°, rel. 81; d 2.569, 34.9°, rel. 53; d 2.343, 38.4°, rel. 48; d 2.270, 39.7°, rel. 96; d 2.263, 39.8°, rel. 100; d 2.208, 40.9°, rel. 44; d 2.185, 41.3°, rel. 41; d 2.175, 41.5°, rel. 40; d 1.914, 47.5°, rel. 55; d 1.908, 47.7°, rel. 72